For BaTlW2O8, a PBE+U-relaxed structure gives the theoretical powder X-ray diffraction pattern in this record (copper Kα).
Intensities are scaled so that the largest is 100.

Structure:
```
BaTlW2O8
1.0
2.7856 1.6083 7.9518
-2.7856 1.6083 7.9518
0.0000 -3.2166 7.9518
Ba Tl W O
1 1 2 8
direct
0.0000 0.0000 0.0000
0.5000 0.5000 0.5000
0.2522 0.2522 0.2522
0.7478 0.7478 0.7478
0.0697 0.4406 0.7946
0.2054 0.5594 0.9303
0.3278 0.3278 0.3278
0.4406 0.7946 0.0697
0.5594 0.9303 0.2054
0.6722 0.6722 0.6722
0.7946 0.0697 0.4406
0.9303 0.2054 0.5594
```

Top 10 peaks for 2θ from 10° to 90°, by angle:
23.72°, d 3.751, intensity 100.0
32.13°, d 2.786, intensity 47.0
35.39°, d 2.537, intensity 35.5
40.33°, d 2.236, intensity 24.8
48.54°, d 1.876, intensity 13.5
52.47°, d 1.744, intensity 23.6
56.90°, d 1.618, intensity 19.9
57.29°, d 1.608, intensity 12.5
59.41°, d 1.556, intensity 15.8
72.37°, d 1.306, intensity 9.3